The following is a simulated powder X-ray diffraction pattern of Li5Nb2Fe5O12. It was derived from DFT lattice parameters and positions (GGA+U), using Cu Kα X-rays.
Lines closer than 0.1° are merged.

Structure:
```
Li5Nb2Fe5O12
1.0
5.2050 0.0000 0.0000
2.5748 4.6438 0.0000
2.1404 -0.0509 10.0085
Li Nb Fe O
5 2 5 12
Cartesian
0.0000 0.0000 0.0000
2.8438 1.3958 7.5132
2.5132 1.4024 0.0110
6.2441 4.5771 5.1166
6.2021 1.3502 5.0356
5.3948 3.0005 7.5222
6.9295 3.0815 2.5163
3.5889 2.9697 5.0537
4.3388 4.5099 2.5278
4.4412 1.4251 2.5334
7.2715 2.9077 9.9637
8.0573 4.5469 7.5568
3.7916 2.9513 8.7446
4.6255 4.4402 6.3356
2.6058 1.5320 3.6184
3.4944 3.0344 1.3020
6.2521 4.4052 8.7141
4.6101 1.5386 6.3589
5.2798 3.0086 3.8132
6.1530 4.4511 1.2712
6.2566 1.4903 8.6562
7.1219 3.0269 6.3747
7.8049 4.4959 3.8203
6.0991 1.5003 1.2949
```

Largest 12 diffraction maxima, low angle first, 2θ from 10° to 90°:
2θ 17.72, d = 5.004 Å, rel. 98, (0 0 2)
2θ 19.11, d = 4.644 Å, rel. 68, (0 1 0)
2θ 23.26, d = 3.824 Å, rel. 80, (1 0 -1)
2θ 35.89, d = 2.502 Å, rel. 26, (0 0 4)
2θ 36.07, d = 2.490 Å, rel. 77, (2 1 2)
2θ 41.02, d = 2.200 Å, rel. 100, (1 -1 3)
2θ 41.35, d = 2.184 Å, rel. 92, (1 2 3)
2θ 43.12, d = 2.098 Å, rel. 75, (2 1 -2)
2θ 59.58, d = 1.552 Å, rel. 24, (2 1 6)
2θ 59.74, d = 1.548 Å, rel. 24, (0 3 0)
2θ 60.93, d = 1.521 Å, rel. 23, (1 2 -5)
2θ 61.10, d = 1.517 Å, rel. 45, (-1 1 5)